Structure and calculated PXRD pattern of Li2NiP5O15 (DFT lattice parameters and positions (PBE+U); copper Kα).
Kinematic intensities with the Lorentz-polarization factor, no thermal factor.

Crystal structure
a = 5.114 Å, b = 9.260 Å, c = 13.183 Å
α = 90.00°, β = 109.93°, γ = 90.00°
Space group Pc (No. 7)
One atom of each set of equivalent atoms:
Li (0.000, 0.151, 0.000)
Li (0.094, 0.158, 0.398)
Ni (0.051, 0.499, 0.952)
P (0.051, 0.495, 0.202)
P (0.461, 0.318, 0.863)
P (0.495, 0.011, 0.807)
P (0.599, 0.013, 0.592)
P (0.639, 0.320, 0.541)
O (0.010, 0.417, 0.296)
O (0.092, 0.416, 0.109)
O (0.288, 0.110, 0.291)
O (0.314, 0.009, 0.010)
O (0.316, 0.397, 0.749)
O (0.327, 0.323, 0.511)
O (0.347, 0.366, 0.948)
O (0.352, 0.155, 0.831)
O (0.547, 0.061, 0.700)
O (0.746, 0.157, 0.571)
O (0.753, 0.370, 0.455)
O (0.773, 0.320, 0.892)
O (0.780, 0.014, 0.390)
O (0.785, 0.397, 0.655)
O (0.803, 0.108, 0.107)

Peak list (10 most intense, 2θ from 10° to 80°, low angle first)
- 2θ 11.9, rel. 40, (0 1 1)
- 2θ 14.3, rel. 20, (0 0 2)
- 2θ 17.2, rel. 15, (0 1 2)
- 2θ 19.2, rel. 62, (0 2 0)
- 2θ 20.8, rel. 100, (1 1 0)
- 2θ 24.0, rel. 27, (1 1 1)
- 2θ 28.5, rel. 42, (1 0 -4)
- 2θ 30.4, rel. 35, (0 1 4)
- 2θ 34.5, rel. 68, (1 3 0)
- 2θ 41.3, rel. 15, (1 0 -6)